Theoretical XRD peak list of KZn2MoN for Cu Kα (weighted mean of Kα1 and Kα2), from a crystal structure in Alexandria, relaxed with GGA-PBE.
Peak positions follow from Bragg's law for the DFT cell and can differ from measured ones.

Atomic structure:
```
data_KZn2MoN
_chemical_formula_sum 'K1 Zn2 Mo1 N1'
_cell_length_a 5.3387
_cell_length_b 5.3387
_cell_length_c 4.2093
_cell_angle_alpha 90.00
_cell_angle_beta 90.00
_cell_angle_gamma 90.00
_symmetry_space_group_name_H-M 'P 4/m m m'
_symmetry_Int_Tables_number 123
_symmetry_space_group_name_Hall '-P 4 2'
loop_
_atom_site_label
_atom_site_fract_x
_atom_site_fract_y
_atom_site_fract_z
_atom_site_occupancy
K1 0.0000 0.0000 0.0000 1
Zn1 0.0000 0.5000 0.0000 1
Mo1 0.5000 0.5000 0.5000 1
N1 0.0000 0.0000 0.5000 1
```

Peak list (10 most intense, 2θ = 10–80°, sorted by position)
| (hkl) | 2theta | I_rel |
| --- | --- | --- |
| 1 0 1 | 26.97 | 53 |
| 1 1 1 | 31.84 | 100 |
| 2 0 0 | 33.57 | 83 |
| 0 0 2 | 42.97 | 20 |
| 2 1 1 | 43.58 | 28 |
| 2 2 0 | 48.21 | 28 |
| 2 0 2 | 55.61 | 36 |
| 3 1 1 | 58.94 | 32 |
| 2 2 2 | 66.55 | 20 |
| 1 1 3 | 71.77 | 9 |